Starting from a structure optimized by DFT (GGA-PBE), the PXRD pattern of LaCdGa was computed for Cu Kα (λ = 1.5418 Å).
No peak broadening, texture or thermal motion is included.

Top 10 peaks for 15° ≤ 2θ ≤ 90°, in order of rising 2θ:
hkl, two_theta, d [Å], I (rel.)
1 1 2, 29.51, 3.027, 30
1 0 3, 31.25, 2.863, 100
0 2 2, 32.58, 2.749, 46
1 2 1, 36.20, 2.482, 81
2 0 0, 41.59, 2.172, 30
0 1 5, 42.11, 2.146, 19
0 2 4, 42.83, 2.111, 20
2 2 2, 53.80, 1.704, 22
2 1 5, 60.66, 1.527, 17
1 4 3, 68.20, 1.375, 20

a = 4.3432 Å, b = 6.2716 Å, c = 11.4191 Å
α = 90.00°, β = 90.00°, γ = 90.00°
Space group Immm (No. 71)
Inequivalent atoms, fractional coordinates:
La 0.0000 0.0000 0.1886 x4
Cd 0.0000 0.2451 0.5000 x4
Ga 0.0000 0.5000 0.1163 x4